The following is a simulated powder X-ray diffraction pattern of UMnHgO6. It was derived from a DFT-relaxed cell (GGA+U, Alexandria), using Cu Ka.

Atomic structure:
abc: 5.3176 9.5921 5.1943
angles: 90.00 100.01 90.00
Space group C2 (No. 5)
Symmetry-distinct sites (fractional):
U 0.0000 0.0000 0.0000 (multiplicity 2)
Mn 0.0000 0.6616 0.0000 (multiplicity 2)
Hg 0.0000 0.3106 0.5000 (multiplicity 2)
O 0.1675 0.8196 0.2136 (multiplicity 4)
O 0.2059 0.5246 0.2062 (multiplicity 4)
O 0.2314 0.1491 0.2047 (multiplicity 4)

Top 8 peaks for 2θ from 10° to 80°, in order of rising 2θ:
| (hkl) | 2θ/deg | intensity |
| --- | --- | --- |
| 1 1 0 | 19.31 | 35.2 |
| 1 1 -1 | 23.97 | 96.3 |
| 0 2 1 | 25.46 | 100.0 |
| 1 1 1 | 28.01 | 63.4 |
| 1 3 0 | 32.82 | 66.2 |
| 2 2 -1 | 40.50 | 27.8 |
| 1 3 -2 | 46.41 | 26.7 |
| 1 3 2 | 51.11 | 27.4 |